Starting from the PBE geometry in Alexandria, the PXRD pattern of DyPd6Au3 was calculated for Cu Kα (weighted mean of Kα1 and Kα2).

Top 12 peaks for 10° ≤ 2θ ≤ 90°, sorted by position:
| d/Å | 2θ/deg | I/Imax |
| --- | --- | --- |
| 2.358 | 38.17 | 100 |
| 2.141 | 42.21 | 20 |
| 2.121 | 42.63 | 17 |
| 1.894 | 48.04 | 13 |
| 1.507 | 61.55 | 11 |
| 1.418 | 65.85 | 10 |
| 1.412 | 66.20 | 5 |
| 1.274 | 74.48 | 14 |
| 1.266 | 75.03 | 6 |
| 1.265 | 75.10 | 6 |
| 1.179 | 81.71 | 5 |
| 1.164 | 82.91 | 10 |

Cell and atoms:
```
20
Lattice="8.6861 0.0000 0.0000 0.0000 4.2815 0.0000 -0.8462 0.0000 9.2475" Properties=species:S:1:pos:R:3 pbc="T T T"
Dy 0.2607 1.0704 3.4653
Dy 7.5793 3.2111 5.7822
Pd -0.3296 3.2111 8.4175
Pd 0.6891 1.0704 6.4900
Pd 1.2192 3.2111 1.8901
Pd 1.7284 3.2111 4.7089
Pd 2.9189 1.0704 2.7898
Pd 3.8629 3.2111 0.9418
Pd 3.9771 1.0704 8.3057
Pd 4.9210 3.2111 6.4577
Pd 6.1116 1.0704 4.5386
Pd 6.6208 1.0704 7.3575
Pd 7.1509 3.2111 2.7575
Pd 8.1696 1.0704 0.8300
Au 2.1762 1.0704 0.0881
Au 2.2892 3.2111 7.4804
Au 3.3826 1.0704 5.5576
Au 4.4574 3.2111 3.6900
Au 5.5508 1.0704 1.7672
Au 5.6637 3.2111 9.1594
```



Starting from the PBE geometry in Alexandria, the PXRD pattern of Sm5HgSb2 was calculated for Cu Kα (weighted mean of Kα1 and Kα2).

Top 12 peaks for 10° ≤ 2θ ≤ 90°, sorted by position:
| d/Å | 2θ/deg | I/Imax |
| --- | --- | --- |
| 3.250 | 27.44 | 11 |
| 3.043 | 29.36 | 54 |
| 2.958 | 30.22 | 67 |
| 2.863 | 31.24 | 24 |
| 2.719 | 32.94 | 100 |
| 2.483 | 36.18 | 26 |
| 2.449 | 36.70 | 20 |
| 2.057 | 44.02 | 19 |
| 1.902 | 47.83 | 22 |
| 1.658 | 55.43 | 26 |
| 1.527 | 60.65 | 12 |
| 1.486 | 62.48 | 13 |

Cell and atoms:
```
16
Lattice="2.9577 -5.8353 0.0000 2.9577 5.8353 0.0000 0.0000 0.0000 14.8961" Properties=species:S:1:pos:R:3 pbc="T T T"
Sm 2.9577 4.9704 9.0053
Sm 2.9577 4.9704 13.3389
Sm 2.9577 1.4144 8.2689
Sm 2.9577 1.4144 14.0753
Sm 2.9577 1.3900 3.7240
Sm 2.9577 -1.3900 11.1721
Sm 2.9577 -1.4144 0.8209
Sm 2.9577 -1.4144 6.6272
Sm 2.9577 -4.9704 1.5573
Sm 2.9577 -4.9704 5.8908
Hg 2.9577 2.2789 11.1721
Hg 2.9577 -2.2789 3.7240
Sb 2.9577 3.5432 1.4807
Sb 2.9577 3.5432 5.9674
Sb 2.9577 -3.5432 8.9288
Sb 2.9577 -3.5432 13.4154
```



Starting from the PBE geometry in Alexandria, the PXRD pattern of ScHPd3 was calculated for Cu Kα (weighted mean of Kα1 and Kα2).

Top 12 peaks for 10° ≤ 2θ ≤ 90°, sorted by position:
| d/Å | 2θ/deg | I/Imax |
| --- | --- | --- |
| 4.129 | 21.52 | 4 |
| 3.914 | 22.72 | 6 |
| 3.251 | 27.43 | 3 |
| 2.849 | 31.40 | 2 |
| 2.345 | 38.39 | 100 |
| 2.064 | 43.85 | 17 |
| 2.014 | 45.01 | 32 |
| 1.442 | 64.65 | 20 |
| 1.424 | 65.54 | 10 |
| 1.239 | 76.94 | 12 |
| 1.217 | 78.59 | 23 |
| 1.172 | 82.23 | 10 |

Cell and atoms:
```
10
Lattice="8.4998 -2.0143 0.0000 8.4998 2.0143 0.0000 -0.9541 0.0000 3.9139" Properties=species:S:1:pos:R:3 pbc="T T T"
Sc 0.0000 0.0000 0.0000
Sc 3.7950 0.0000 0.9258
H 6.2302 0.0000 1.5206
H 13.6084 0.0000 3.3267
Pd 1.4205 0.0000 2.4197
Pd 5.4319 0.0000 3.3985
Pd 8.0017 0.0000 1.9520
Pd 10.3974 0.0000 0.4628
Pd 11.8390 0.0000 2.8874
Pd 14.4086 0.0000 1.4419
```



Starting from the PBE geometry in Alexandria, the PXRD pattern of CaPrY was calculated for Cu Kα (weighted mean of Kα1 and Kα2).

Top 12 peaks for 10° ≤ 2θ ≤ 90°, sorted by position:
| d/Å | 2θ/deg | I/Imax |
| --- | --- | --- |
| 8.029 | 11.02 | 16 |
| 3.598 | 24.75 | 12 |
| 3.039 | 29.39 | 100 |
| 2.717 | 32.96 | 13 |
| 2.676 | 33.48 | 15 |
| 2.610 | 34.36 | 35 |
| 1.869 | 48.73 | 20 |
| 1.846 | 49.38 | 12 |
| 1.606 | 57.36 | 9 |
| 1.578 | 58.51 | 27 |
| 1.519 | 60.98 | 10 |
| 1.473 | 63.14 | 7 |

Cell and atoms:
```
6
Lattice="3.6915 0.0000 0.0000 0.0000 3.6915 0.0000 0.0000 0.0000 16.0581" Properties=species:S:1:pos:R:3 pbc="T T T"
Ca 0.9229 0.9229 1.4793
Ca 2.7686 2.7686 14.5787
Pr 0.9229 0.9229 11.7712
Pr 2.7686 2.7686 4.2869
Y 0.9229 0.9229 6.7608
Y 2.7686 2.7686 9.2973
```